# 1
Ac2ZrS2N2: calculated powder X-ray diffraction pattern (Cu Kα (weighted mean of Kα1 and Kα2)), based on a PBE-relaxed structure.
No peak broadening, texture or thermal motion is included.

Cell and atoms:
```
Ac2ZrS2N2
1.0
-2.1805 2.1805 7.5921
2.1805 -2.1805 7.5921
2.1805 2.1805 -7.5921
Ac Zr S N
2 1 2 2
direct
0.1202 0.1202 0.0000
0.8798 0.8798 0.0000
0.5000 0.5000 0.0000
0.3246 0.3246 0.0000
0.6754 0.6754 0.0000
0.0000 0.5000 0.5000
0.5000 0.0000 0.5000
```

Top 6 peaks for 10 to 90 degrees two-theta, in order of falling intensity:
| 2theta | d_spacing | Rel. int. |
| --- | --- | --- |
| 28.95 | 3.084 | 100 |
| 36.04 | 2.492 | 84 |
| 26.99 | 3.304 | 69 |
| 21.20 | 4.192 | 48 |
| 56.04 | 1.641 | 47 |
| 37.58 | 2.393 | 47 |

---

# 2
AcSnSbN: calculated powder X-ray diffraction pattern (Cu Kα (weighted mean of Kα1 and Kα2)), based on a PBE-relaxed structure.
No peak broadening, texture or thermal motion is included.

Cell and atoms:
```
AcSnSbN
1.0
-1.9229 1.9229 6.7417
1.9229 -1.9229 6.7417
1.9229 1.9229 -6.7417
Ac Sn Sb N
1 1 1 1
direct
0.0000 0.0000 0.0000
0.6815 0.6815 0.0000
0.3337 0.3337 0.0000
0.5035 0.5035 0.0000
```

Top 6 peaks for 10 to 90 degrees two-theta, in order of falling intensity:
| 2theta | d_spacing | Rel. int. |
| --- | --- | --- |
| 30.59 | 2.922 | 100 |
| 32.94 | 2.719 | 47 |
| 57.36 | 1.606 | 35 |
| 52.85 | 1.732 | 24 |
| 47.27 | 1.923 | 17 |
| 63.69 | 1.461 | 13 |

---

# 3
AcSeN: calculated powder X-ray diffraction pattern (Cu Kα (weighted mean of Kα1 and Kα2)), based on a PBE-relaxed structure.
No peak broadening, texture or thermal motion is included.

Cell and atoms:
```
AcSeN
1.0
4.4697 0.0000 0.0000
1.7343 5.5230 0.0000
0.2660 0.8875 6.3047
Ac Se N
2 2 2
direct
0.1694 0.2481 0.2229
0.8306 0.7519 0.7771
0.1689 0.1726 0.7231
0.8311 0.8274 0.2769
0.3865 0.5472 0.9401
0.6135 0.4528 0.0599
```

Top 6 peaks for 10 to 90 degrees two-theta, in order of falling intensity:
| 2theta | d_spacing | Rel. int. |
| --- | --- | --- |
| 22.31 | 3.985 | 100 |
| 28.31 | 3.152 | 85 |
| 30.16 | 2.963 | 77 |
| 19.95 | 4.450 | 74 |
| 38.11 | 2.361 | 66 |
| 40.57 | 2.223 | 58 |